Calculated X-ray powder pattern
Compound: AcMgGe2Os
Radiation: Cu Kα X-rays
Structure: the PBE geometry in Alexandria

The 8 most intense peaks (2θ = 10–80°), by angle:
- hkl 1 0 1, 22.12°, I 56.1
- hkl 1 0 3, 31.28°, I 83.1
- hkl 1 1 2, 33.40°, I 100.0
- hkl 2 0 0, 42.15°, I 48.0
- hkl 1 0 5, 44.67°, I 32.3
- hkl 2 1 3, 53.41°, I 37.6
- hkl 2 1 5, 63.09°, I 23.3
- hkl 3 1 2, 71.48°, I 22.8

Cell and atoms:
Cell lengths 4.288, 4.288, 11.514 Å; angles 90.00, 90.00, 90.00 degrees
Space group I-4m2 (No. 119)
One atom of each set of equivalent atoms:
Ac  0.000  0.000  0.000
Mg  0.000  0.500  0.750
Ge  0.000  0.000  0.376
Os  0.000  0.500  0.250

Calculated X-ray powder pattern
Compound: ReTeOs2
Radiation: Cu Kα X-rays
Structure: the PBE geometry in Alexandria

The 8 most intense peaks (2θ = 10–80°), by angle:
- hkl 0 0 2, 38.53°, I 53.2
- hkl 2 0 0, 39.09°, I 51.1
- hkl 1 1 -1, 39.40°, I 100.0
- hkl 1 1 1, 42.86°, I 79.0
- hkl 2 0 -2, 50.36°, I 24.9
- hkl 1 1 -3, 67.85°, I 20.4
- hkl 3 1 -1, 68.60°, I 19.8
- hkl 1 1 3, 75.06°, I 15.3

Cell and atoms:
Cell lengths 4.686, 2.949, 4.751 Å; angles 90.00, 100.38, 90.00 degrees
Space group P2/m (No. 10)
One atom of each set of equivalent atoms:
Re  0.000  0.000  0.000
Te  0.000  0.500  0.500
Os  0.500  0.000  0.500
Os  0.500  0.500  0.000

Calculated X-ray powder pattern
Compound: NdSc4S6
Radiation: Cu Kα X-rays
Structure: the PBE geometry in Alexandria

The 8 most intense peaks (2θ = 10–80°), by angle:
- hkl 0 2 1, 15.26°, I 29.9
- hkl 0 2 3, 20.18°, I 27.8
- hkl 0 2 5, 27.58°, I 39.8
- hkl 0 2 6, 31.74°, I 31.5
- hkl 1 3 2, 33.95°, I 100.0
- hkl 1 3 3, 35.59°, I 37.0
- hkl 1 1 8, 45.75°, I 27.9
- hkl 2 0 0, 48.78°, I 44.9

Cell and atoms:
Cell lengths 3.731, 12.187, 19.084 Å; angles 90.00, 90.00, 90.00 degrees
Space group Cmcm (No. 63)
One atom of each set of equivalent atoms:
Nd  0.000  0.154  0.250
Sc  0.000  0.094  0.624
Sc  0.000  0.360  0.539
S  0.000  0.000  0.000
S  0.000  0.174  0.750
S  0.000  0.268  0.087
S  0.000  0.456  0.660

Calculated X-ray powder pattern
Compound: RbTeHOF4
Radiation: Cu Kα X-rays
Structure: the PBE geometry in Alexandria

The 8 most intense peaks (2θ = 10–80°), by angle:
- hkl 1 1 0, 18.84°, I 50.4
- hkl 4 0 0, 22.04°, I 96.1
- hkl 1 1 -2, 22.40°, I 100.0
- hkl 1 1 2, 22.98°, I 57.6
- hkl 0 0 4, 25.22°, I 99.2
- hkl 3 1 -2, 26.88°, I 70.3
- hkl 3 1 2, 28.34°, I 56.5
- hkl 5 1 0, 33.20°, I 47.2

Cell and atoms:
Cell lengths 16.203, 4.926, 14.185 Å; angles 90.00, 95.40, 90.00 degrees
Space group Cc (No. 9)
One atom of each set of equivalent atoms:
Rb  0.000  0.098  0.000
Rb  0.205  0.402  0.267
Te  0.261  0.021  0.016
Te  0.444  0.020  0.752
H  0.035  0.121  0.753
H  0.170  0.377  0.513
O  0.043  0.308  0.781
O  0.162  0.191  0.486
F  0.032  0.191  0.217
F  0.172  0.310  0.050
F  0.243  0.112  0.875
F  0.258  0.113  0.652
F  0.322  0.323  0.490
F  0.383  0.324  0.279
F  0.446  0.115  0.115
F  0.463  0.112  0.892

Calculated X-ray powder pattern
Compound: InGePbCl5
Radiation: Cu Kα X-rays
Structure: the PBE geometry in Alexandria

The 8 most intense peaks (2θ = 10–80°), by angle:
- hkl 1 1 -1, 13.01°, I 78.8
- hkl 1 1 1, 17.58°, I 100.0
- hkl 2 0 -2, 21.17°, I 67.6
- hkl 2 2 0, 24.26°, I 37.6
- hkl 0 2 2, 24.70°, I 64.4
- hkl 1 3 -1, 25.30°, I 69.1
- hkl 2 0 2, 31.97°, I 42.2
- hkl 2 2 -4, 39.62°, I 30.9

Cell and atoms:
Cell lengths 10.241, 11.635, 9.947 Å; angles 90.00, 112.59, 90.00 degrees
Space group C2/c (No. 15)
One atom of each set of equivalent atoms:
In  0.000  0.060  0.250
Ge  0.000  0.485  0.250
Pb  0.250  0.250  0.000
Cl  0.000  0.196  0.750
Cl  0.024  0.344  0.087
Cl  0.219  0.017  0.092

Calculated X-ray powder pattern
Compound: Np5Te7
Radiation: Cu Kα X-rays
Structure: the PBE geometry in Alexandria

The 8 most intense peaks (2θ = 10–80°), by angle:
- hkl 2 0 2, 21.08°, I 70.2
- hkl 2 0 -3, 21.61°, I 55.9
- hkl 3 1 -1, 28.09°, I 87.6
- hkl 3 1 -2, 29.50°, I 93.3
- hkl 3 1 1, 30.41°, I 78.6
- hkl 1 1 -4, 34.29°, I 52.6
- hkl 1 1 4, 36.91°, I 67.2
- hkl 0 2 0, 42.21°, I 100.0

Cell and atoms:
Cell lengths 14.313, 4.282, 13.202 Å; angles 90.00, 104.26, 90.00 degrees
Space group C2/m (No. 12)
One atom of each set of equivalent atoms:
Np  0.000  0.000  0.000
Np  0.123  0.000  0.428
Np  0.197  0.500  0.814
Te  0.000  0.500  0.500
Te  0.032  0.000  0.781
Te  0.159  0.500  0.051
Te  0.240  0.500  0.344

Calculated X-ray powder pattern
Compound: CeMg4Ag
Radiation: Cu Kα X-rays
Structure: the PBE geometry in Alexandria

The 8 most intense peaks (2θ = 10–80°), by angle:
- hkl 2 0 0, 20.39°, I 73.1
- hkl 0 1 0, 20.63°, I 63.2
- hkl 1 0 2, 25.22°, I 55.0
- hkl 2 1 0, 29.17°, I 78.2
- hkl 2 1 1, 31.43°, I 44.0
- hkl 1 1 2, 32.80°, I 100.0
- hkl 1 0 3, 36.37°, I 38.9
- hkl 0 2 0, 41.98°, I 31.4

Cell and atoms:
Cell lengths 8.712, 4.305, 7.727 Å; angles 90.00, 90.00, 90.00 degrees
Space group Pmma (No. 51)
One atom of each set of equivalent atoms:
Ce  0.250  0.000  0.111
Mg  0.000  0.000  0.500
Mg  0.055  0.500  0.808
Mg  0.250  0.500  0.444
Ag  0.250  0.000  0.706

Calculated X-ray powder pattern
Compound: K7Li
Radiation: Cu Kα X-rays
Structure: the PBE geometry in Alexandria

The 8 most intense peaks (2θ = 10–80°), by angle:
- hkl 2 2 2, 24.08°, I 100.0
- hkl 4 0 0, 27.88°, I 50.6
- hkl 4 4 0, 39.84°, I 35.1
- hkl 6 2 2, 47.09°, I 40.8
- hkl 4 4 4, 49.32°, I 11.7
- hkl 6 6 2, 63.34°, I 15.1
- hkl 8 4 0, 65.19°, I 13.7
- hkl 10 2 2, 77.49°, I 10.5

Cell and atoms:
Cell lengths 12.801, 12.801, 12.801 Å; angles 90.00, 90.00, 90.00 degrees
Space group Fm-3m (No. 225)
One atom of each set of equivalent atoms:
K  0.000  0.000  0.000
K  0.000  0.250  0.250
Li  0.000  0.000  0.500

Calculated X-ray powder pattern
Compound: Ce2Ho3Se4
Radiation: Cu Kα X-rays
Structure: the PBE geometry in Alexandria

The 8 most intense peaks (2θ = 10–80°), by angle:
- hkl 0 1 5, 26.75°, I 24.4
- hkl 1 1 0, 27.16°, I 25.3
- hkl 0 2 0, 30.68°, I 55.3
- hkl 1 0 5, 31.49°, I 100.0
- hkl 1 2 5, 44.55°, I 94.0
- hkl 2 0 0, 45.67°, I 18.4
- hkl 0 2 10, 55.11°, I 18.6
- hkl 2 2 0, 56.02°, I 20.0

Cell and atoms:
Cell lengths 3.973, 5.829, 20.315 Å; angles 90.00, 90.00, 90.00 degrees
Space group Immm (No. 71)
One atom of each set of equivalent atoms:
Ce  0.000  0.000  0.089
Ho  0.000  0.000  0.300
Ho  0.000  0.000  0.500
Se  0.000  0.500  0.101
Se  0.000  0.500  0.301

Calculated X-ray powder pattern
Compound: H6PbCI3N
Radiation: Cu Kα X-rays
Structure: the PBE geometry in Alexandria

The 8 most intense peaks (2θ = 10–80°), by angle:
- hkl 0 2 0, 13.72°, I 63.2
- hkl 1 0 1, 14.04°, I 100.0
- hkl 0 4 0, 27.63°, I 51.3
- hkl 2 0 2, 28.31°, I 62.0
- hkl 3 0 1, 30.87°, I 40.9
- hkl 1 4 1, 31.13°, I 35.1
- hkl 2 4 2, 39.97°, I 43.0
- hkl 3 4 1, 41.91°, I 36.5

Cell and atoms:
Cell lengths 9.224, 12.912, 8.640 Å; angles 90.00, 90.00, 90.00 degrees
Space group Pnma (No. 62)
One atom of each set of equivalent atoms:
H  0.069  0.250  0.140
H  0.072  0.750  0.172
H  0.128  0.185  0.982
H  0.135  0.680  0.005
Pb  0.000  0.000  0.500
C  0.079  0.750  0.045
I  0.009  0.750  0.567
I  0.197  0.025  0.811
N  0.071  0.250  0.020

Calculated X-ray powder pattern
Compound: DyPuIrPd
Radiation: Cu Kα X-rays
Structure: the PBE geometry in Alexandria

The 8 most intense peaks (2θ = 10–80°), by angle:
- hkl 0 0 1, 12.50°, I 10.1
- hkl 1 0 2, 36.38°, I 100.0
- hkl 1 1 0, 36.90°, I 49.0
- hkl 0 0 4, 51.61°, I 8.8
- hkl 2 0 0, 53.18°, I 17.4
- hkl 1 1 4, 65.13°, I 17.6
- hkl 2 1 2, 66.15°, I 35.6
- hkl 2 0 4, 77.27°, I 10.9

Cell and atoms:
Cell lengths 3.445, 3.445, 7.083 Å; angles 90.00, 90.00, 90.00 degrees
Space group P4mm (No. 99)
One atom of each set of equivalent atoms:
Dy  0.000  0.000  0.000
Pu  0.000  0.000  0.523
Ir  0.500  0.500  0.758
Pd  0.500  0.500  0.244